NbVFe: simulated powder XRD pattern (Cu Kα X-rays), based on a crystal structure in Alexandria, relaxed with PBE.
Peak positions follow from Bragg's law for the DFT cell and can differ from measured ones.

Structural model:
```
data_NbVFe
_chemical_formula_sum 'Nb4 V4 Fe4'
_cell_length_a 4.930
_cell_length_b 5.009
_cell_length_c 6.844
_cell_angle_alpha 90.00
_cell_angle_beta 90.00
_cell_angle_gamma 90.00
_symmetry_space_group_name_H-M 'I m m a'
_symmetry_Int_Tables_number 74
_symmetry_space_group_name_Hall '-I 2b 2'
loop_
_atom_site_label
_atom_site_fract_x
_atom_site_fract_y
_atom_site_fract_z
_atom_site_occupancy
Nb1 0.000 0.250 0.127 1
V1 0.250 0.250 0.750 1
Fe1 0.000 0.000 0.500 1
```

Largest 10 diffraction maxima, by intensity, 10° ≤ 2θ ≤ 80°:
(hkl), 2θ/deg, Rel. int.
1 2 1, 42.59, 100
1 1 2, 36.66, 89
2 1 1, 42.98, 86
1 0 3, 43.72, 49
2 2 4, 77.95, 40
0 1 3, 43.60, 39
0 2 2, 44.85, 33
3 2 1, 69.81, 30
2 0 2, 45.34, 29
2 0 0, 36.45, 27